(1)
Structure and simulated powder X-ray diffraction pattern of InCo10 (the GGA-PBE geometry in OQMD; Cu Ka).

Atomic structure:
```
data_InCo10
_chemical_formula_sum 'In4 Co40'
_cell_length_a 7.822
_cell_length_b 3.479
_cell_length_c 27.869
_cell_angle_alpha 90.00
_cell_angle_beta 90.34
_cell_angle_gamma 90.00
_symmetry_space_group_name_H-M 'C 1 2/m 1'
_symmetry_Int_Tables_number 12
_symmetry_space_group_name_Hall '-C 2y'
loop_
_atom_site_label
_atom_site_type_symbol
_atom_site_fract_x
_atom_site_fract_y
_atom_site_fract_z
In1 In 0.144 0.000 0.188
Co1 Co 0.048 0.500 0.261
Co2 Co 0.049 0.000 0.401
Co3 Co 0.050 0.000 0.684
Co4 Co 0.050 0.500 0.542
Co5 Co 0.149 0.500 0.345
Co6 Co 0.150 0.000 0.486
Co7 Co 0.152 0.500 0.627
Co8 Co 0.153 0.000 0.766
Co9 Co 0.250 0.000 0.289
Co10 Co 0.250 0.000 0.571
```

Most intense lines, 10 to 90 degrees two-theta, in order of rising 2θ:
2θ (°), Rel. int., h k l
43.23, 100.0, 1 1 10
44.46, 90.4, 3 1 -3
45.31, 92.5, 3 1 -4
45.86, 68.0, 1 1 11
52.24, 37.2, 4 0 7
52.62, 40.7, 0 2 0

---

(2)
Structure and simulated powder X-ray diffraction pattern of SrNi2As4Pb (the GGA-PBE geometry in OQMD; Cu Ka).

Atomic structure:
```
data_SrNi2As4Pb
_chemical_formula_sum 'Sr2 Ni4 As8 Pb2'
_cell_length_a 4.474
_cell_length_b 4.380
_cell_length_c 16.555
_cell_angle_alpha 90.00
_cell_angle_beta 90.00
_cell_angle_gamma 90.00
_symmetry_space_group_name_H-M 'A m m 2'
_symmetry_Int_Tables_number 38
_symmetry_space_group_name_Hall 'A 2 -2'
loop_
_atom_site_label
_atom_site_type_symbol
_atom_site_fract_x
_atom_site_fract_y
_atom_site_fract_z
Sr1 Sr 0.000 0.000 0.000
Ni1 Ni 0.000 0.000 0.210
Ni2 Ni 0.500 0.000 0.581
As1 As 0.000 0.000 0.355
As2 As 0.000 0.000 0.643
As3 As 0.500 0.000 0.146
As4 As 0.500 0.000 0.439
Pb1 Pb 0.500 0.000 0.791
```

Most intense lines, 10 to 90 degrees two-theta, in order of rising 2θ:
2θ (°), Rel. int., h k l
29.03, 24.2, 1 1 1
32.90, 100.0, 1 1 3
33.94, 38.8, 0 1 5
38.33, 27.2, 1 0 6
40.31, 31.7, 2 0 0
41.22, 29.7, 0 2 0

---

(3)
Structure and simulated powder X-ray diffraction pattern of TaNbAsC (the GGA-PBE geometry in OQMD; Cu Ka).

Atomic structure:
```
data_TaNbAsC
_chemical_formula_sum 'Ta2 Nb2 As2 C2'
_cell_length_a 3.3386
_cell_length_b 3.3386
_cell_length_c 11.9959
_cell_angle_alpha 90.00
_cell_angle_beta 90.00
_cell_angle_gamma 120.00
_symmetry_space_group_name_H-M 'P -3 m 1'
_symmetry_Int_Tables_number 164
_symmetry_space_group_name_Hall '-P 3 2"'
loop_
_atom_site_label
_atom_site_type_symbol
_atom_site_fract_x
_atom_site_fract_y
_atom_site_fract_z
Ta1 Ta 0.3333 0.6667 0.4062
Nb1 Nb 0.3333 0.6667 0.0946
As1 As 0.3333 0.6667 0.7488
C1 C 0.0000 0.0000 0.0000
C2 C 0.0000 0.0000 0.5000
```

Most intense lines, 10 to 90 degrees two-theta, in order of rising 2θ:
2θ (°), Rel. int., h k l
30.93, 27.1, 1 0 0
38.42, 100.0, 1 0 3
45.36, 11.8, 0 0 6
55.01, 25.4, 1 1 0
69.09, 17.6, 0 2 3
73.97, 16.7, 1 1 6

---

(4)
Structure and simulated powder X-ray diffraction pattern of Hf2SbN (the GGA-PBE geometry in OQMD; Cu Ka).

Atomic structure:
```
data_Hf2SbN
_chemical_formula_sum 'Hf4 Sb2 N2'
_cell_length_a 3.4190
_cell_length_b 3.4190
_cell_length_c 13.3119
_cell_angle_alpha 90.00
_cell_angle_beta 90.00
_cell_angle_gamma 120.00
_symmetry_space_group_name_H-M 'P 63/m m c'
_symmetry_Int_Tables_number 194
_symmetry_space_group_name_Hall '-P 6c 2c'
loop_
_atom_site_label
_atom_site_type_symbol
_atom_site_fract_x
_atom_site_fract_y
_atom_site_fract_z
Hf1 Hf 0.3333 0.6667 0.0863
Sb1 Sb 0.3333 0.6667 0.7500
N1 N 0.0000 0.0000 0.0000
```

Most intense lines, 10 to 90 degrees two-theta, in order of rising 2θ:
2θ (°), Rel. int., h k l
30.18, 24.4, 1 0 0
36.48, 100.0, 1 0 3
40.67, 15.5, 0 0 6
53.61, 23.3, 1 1 0
66.59, 17.3, 2 0 3
69.40, 19.7, 1 1 6

---

(5)
Structure and simulated powder X-ray diffraction pattern of KHfTePdSeS (the GGA-PBE geometry in OQMD; Cu Ka).

Atomic structure:
```
data_KHfTePdSeS
_chemical_formula_sum 'K2 Hf2 Te2 Pd2 Se2 S2'
_cell_length_a 8.453
_cell_length_b 3.757
_cell_length_c 10.574
_cell_angle_alpha 90.00
_cell_angle_beta 112.59
_cell_angle_gamma 90.00
_symmetry_space_group_name_H-M 'P 1 21/m 1'
_symmetry_Int_Tables_number 11
_symmetry_space_group_name_Hall '-P 2yb'
loop_
_atom_site_label
_atom_site_type_symbol
_atom_site_fract_x
_atom_site_fract_y
_atom_site_fract_z
K1 K 0.220 0.250 0.245
Hf1 Hf 0.307 0.750 0.839
Te1 Te 0.273 0.750 0.553
Pd1 Pd 0.087 0.250 0.615
Se1 Se 0.441 0.750 0.121
S1 S 0.113 0.250 0.854
```

Most intense lines, 10 to 90 degrees two-theta, in order of rising 2θ:
2θ (°), Rel. int., h k l
11.48, 100.0, 1 0 -1
26.33, 14.1, 1 1 0
31.87, 16.4, 2 1 -1
33.10, 22.6, 2 1 0
34.92, 16.2, 1 1 -3
42.79, 22.6, 2 1 -4

---

(6)
Structure and simulated powder X-ray diffraction pattern of TbDyCl2O2 (the GGA-PBE geometry in OQMD; Cu Ka).

Atomic structure:
```
data_TbDyCl2O2
_chemical_formula_sum 'Tb1 Dy1 Cl2 O2'
_cell_length_a 3.890
_cell_length_b 3.890
_cell_length_c 6.720
_cell_angle_alpha 90.00
_cell_angle_beta 90.00
_cell_angle_gamma 90.00
_symmetry_space_group_name_H-M 'P 4 m m'
_symmetry_Int_Tables_number 99
_symmetry_space_group_name_Hall 'P 4 -2'
loop_
_atom_site_label
_atom_site_type_symbol
_atom_site_fract_x
_atom_site_fract_y
_atom_site_fract_z
Tb1 Tb 0.000 0.000 0.000
Dy1 Dy 0.500 0.500 0.338
Cl1 Cl 0.000 0.000 0.542
Cl2 Cl 0.500 0.500 0.798
O1 O 0.000 0.500 0.171
```

Most intense lines, 10 to 90 degrees two-theta, in order of rising 2θ:
2θ (°), Rel. int., h k l
13.18, 41.2, 0 0 1
26.48, 94.4, 1 0 1
32.55, 64.6, 1 1 0
35.30, 100.0, 1 0 2
46.70, 32.2, 2 0 0
59.87, 40.0, 2 1 2